# 1
The following is a simulated powder diffractogram of Rb3Sn2Br8. It was derived from DFT lattice parameters and positions (GGA-PBE), using Cu Ka.

Structure:
```
data_Rb3Sn2Br8
_space_group_name_H-M_alt 'R -3 m'
_space_group_IT_number 166
_space_group_name_Hall '-R 3 2"'
_cell_length_a 8.5436
_cell_length_b 8.5436
_cell_length_c 26.6107
_cell_angle_alpha 90.00
_cell_angle_beta 90.00
_cell_angle_gamma 120.00
loop_
_atom_site_label
_atom_site_fract_x
_atom_site_fract_y
_atom_site_fract_z
Rb1 0.0000 0.0000 0.0000
Rb2 0.0000 0.0000 0.2107
Sn1 0.0000 0.0000 0.4389
Br1 0.0000 0.0000 0.3393
Br2 0.0391 0.5195 0.7725
```

The 6 most intense peaks (10 to 80 degrees two-theta), low angle first:
d_spacing, 2θ/deg, I_rel, index
4.272, 20.79, 1000, 1 1 0
3.233, 27.59, 420, 0 2 4
3.037, 29.41, 620, 2 0 5
2.957, 30.23, 561, 0 0 9
2.137, 42.29, 900, 2 2 0
1.731, 52.88, 585, 2 2 9


# 2
The following is a simulated powder diffractogram of RbSr2SnBr8. It was derived from DFT lattice parameters and positions (GGA-PBE), using Cu Ka.

Structure:
```
data_RbSr2SnBr8
_space_group_name_H-M_alt 'P 1 2/m 1'
_space_group_IT_number 10
_cell_length_a 6.939
_cell_length_b 9.536
_cell_length_c 7.154
_cell_angle_alpha 90.00
_cell_angle_beta 90.23
_cell_angle_gamma 90.00
loop_
_space_group_symop_operation_xyz
'x,y,z'
'-x,-y,-z'
'-x,y,-z'
'x,-y,z'
loop_
_atom_site_label
_atom_site_fract_x
_atom_site_fract_y
_atom_site_fract_z
Rb1 0.000 0.000 0.000
Sr1 0.500 0.251 0.500
Sn1 0.000 0.500 0.000
Br1 0.238 0.291 0.151
Br2 0.247 0.500 0.670
Br3 0.266 0.000 0.621
```

The 6 most intense peaks (10 to 80 degrees two-theta), low angle first:
d_spacing, 2θ/deg, I_rel, index
4.981, 17.81, 774, 1 0 -1
3.930, 22.63, 318, 1 2 0
3.444, 25.87, 913, 1 2 1
3.180, 28.06, 613, 1 0 -2
2.612, 34.34, 1000, 2 2 1
2.133, 42.38, 428, 0 2 3


# 3
The following is a simulated powder diffractogram of RbTlSnBr4. It was derived from DFT lattice parameters and positions (GGA-PBE), using Cu Ka.

Structure:
```
data_RbTlSnBr4
_space_group_name_H-M_alt 'I 4 m m'
_space_group_IT_number 107
_space_group_name_Hall 'I 4 -2'
_cell_length_a 5.848
_cell_length_b 5.848
_cell_length_c 17.079
_cell_angle_alpha 90.00
_cell_angle_beta 90.00
_cell_angle_gamma 90.00
loop_
_atom_site_label
_atom_site_fract_x
_atom_site_fract_y
_atom_site_fract_z
Rb1 0.000 0.000 0.000
Tl1 0.000 0.000 0.722
Sn1 0.000 0.000 0.363
Br1 0.000 0.000 0.197
Br2 0.000 0.000 0.545
Br3 0.000 0.500 0.366
```

The 6 most intense peaks (10 to 80 degrees two-theta), low angle first:
d_spacing, 2θ/deg, I_rel, index
4.135, 21.49, 729, 1 1 0
2.970, 30.08, 512, 1 1 4
2.950, 30.30, 418, 1 0 5
2.924, 30.57, 1000, 2 0 0
2.068, 43.78, 371, 2 2 0
2.040, 44.42, 479, 2 0 6


# 4
The following is a simulated powder diffractogram of RbTlSn2Br6. It was derived from DFT lattice parameters and positions (GGA-PBE), using Cu Ka.

Structure:
```
data_RbTlSn2Br6
_space_group_name_H-M_alt 'C 1 2/c 1'
_space_group_IT_number 15
_cell_length_a 16.051
_cell_length_b 10.448
_cell_length_c 12.424
_cell_angle_alpha 90.00
_cell_angle_beta 127.99
_cell_angle_gamma 90.00
loop_
_space_group_symop_operation_xyz
'x,y,z'
'-x,-y,-z'
'-x,y,-z+1/2'
'x,-y,z+1/2'
'x+1/2,y+1/2,z'
'-x+1/2,-y+1/2,-z'
'-x+1/2,y+1/2,-z+1/2'
'x+1/2,-y+1/2,z+1/2'
loop_
_atom_site_label
_atom_site_fract_x
_atom_site_fract_y
_atom_site_fract_z
Rb1 0.000 0.177 0.250
Tl1 0.000 0.310 0.750
Sn1 0.193 0.466 0.665
Br1 0.088 0.308 0.074
Br2 0.115 0.078 0.695
Br3 0.181 0.438 0.436
```

The 6 most intense peaks (10 to 80 degrees two-theta), low angle first:
d_spacing, 2θ/deg, I_rel, index
4.896, 18.12, 238, 0 0 2
4.026, 22.08, 778, 2 2 0
3.050, 29.29, 1000, 4 0 -4
2.975, 30.04, 327, 3 1 -4
2.683, 33.40, 251, 1 1 3
2.483, 36.17, 308, 2 4 -1


# 5
The following is a simulated powder diffractogram of RbTlSn2Br8. It was derived from DFT lattice parameters and positions (GGA-PBE), using Cu Ka.

Structure:
```
data_RbTlSn2Br8
_space_group_name_H-M_alt 'P -1'
_space_group_IT_number 2
_cell_length_a 6.874
_cell_length_b 7.702
_cell_length_c 8.895
_cell_angle_alpha 95.77
_cell_angle_beta 99.35
_cell_angle_gamma 98.64
loop_
_space_group_symop_operation_xyz
'x,y,z'
'-x,-y,-z'
loop_
_atom_site_label
_atom_site_fract_x
_atom_site_fract_y
_atom_site_fract_z
Rb1 0.000 0.000 0.000
Tl1 0.000 0.000 0.500
Sn1 0.474 0.598 0.245
Br1 0.138 0.710 0.360
Br2 0.233 0.233 0.362
Br3 0.265 0.594 0.957
Br4 0.344 0.057 0.762
```

The 6 most intense peaks (10 to 80 degrees two-theta), low angle first:
d_spacing, 2θ/deg, I_rel, index
6.104, 14.51, 671, 0 1 -1
5.489, 16.15, 425, 1 -1 0
4.763, 18.63, 459, -1 1 1
3.554, 25.06, 443, 1 1 -2
3.379, 26.38, 1000, 1 0 2
2.663, 33.65, 570, 2 1 -2


# 6
The following is a simulated powder diffractogram of RbVSn2Br8. It was derived from DFT lattice parameters and positions (GGA-PBE), using Cu Ka.

Structure:
```
data_RbVSn2Br8
_space_group_name_H-M_alt 'P -1'
_space_group_IT_number 2
_cell_length_a 7.525
_cell_length_b 7.632
_cell_length_c 8.199
_cell_angle_alpha 105.00
_cell_angle_beta 93.20
_cell_angle_gamma 98.83
loop_
_space_group_symop_operation_xyz
'x,y,z'
'-x,-y,-z'
loop_
_atom_site_label
_atom_site_fract_x
_atom_site_fract_y
_atom_site_fract_z
Rb1 0.000 0.000 0.000
V1 0.000 0.500 0.500
Sn1 0.444 0.493 0.735
Br1 0.092 0.557 0.819
Br2 0.191 0.242 0.443
Br3 0.278 0.726 0.487
Br4 0.421 0.230 0.921
```

The 6 most intense peaks (10 to 80 degrees two-theta), low angle first:
d_spacing, 2θ/deg, I_rel, index
7.259, 12.19, 1000, 0 1 0
3.485, 25.56, 375, 2 0 -1
3.125, 28.56, 816, 0 2 -2
2.849, 31.40, 446, 2 -2 0
2.519, 35.64, 317, 1 -1 3
2.368, 38.00, 304, 0 3 -2


# 7
The following is a simulated powder diffractogram of RbSr2Br5. It was derived from DFT lattice parameters and positions (GGA-PBE), using Cu Ka.

Structure:
```
data_RbSr2Br5
_space_group_name_H-M_alt 'I m m m'
_space_group_IT_number 71
_space_group_name_Hall '-I 2 2'
_cell_length_a 4.704
_cell_length_b 7.745
_cell_length_c 16.235
_cell_angle_alpha 90.00
_cell_angle_beta 90.00
_cell_angle_gamma 90.00
loop_
_atom_site_label
_atom_site_fract_x
_atom_site_fract_y
_atom_site_fract_z
Rb1 0.000 0.000 0.000
Sr1 0.000 0.500 0.185
Br1 0.000 0.263 0.345
Br2 0.000 0.500 0.000
```

The 6 most intense peaks (10 to 80 degrees two-theta), low angle first:
d_spacing, 2θ/deg, I_rel, index
3.550, 25.08, 493, 1 0 3
2.940, 30.40, 1000, 1 2 1
2.802, 31.94, 384, 0 2 4
2.706, 33.11, 407, 0 0 6
2.617, 34.26, 403, 1 2 3
2.199, 41.04, 355, 1 2 5


# 8
The following is a simulated powder diffractogram of Rb2SrBr7. It was derived from DFT lattice parameters and positions (GGA-PBE), using Cu Ka.

Structure:
```
data_Rb2SrBr7
_space_group_name_H-M_alt 'I 4/m m m'
_space_group_IT_number 139
_space_group_name_Hall '-I 4 2'
_cell_length_a 8.874
_cell_length_b 8.874
_cell_length_c 11.114
_cell_angle_alpha 90.00
_cell_angle_beta 90.00
_cell_angle_gamma 90.00
loop_
_atom_site_label
_atom_site_fract_x
_atom_site_fract_y
_atom_site_fract_z
Rb1 0.000 0.500 0.250
Sr1 0.000 0.000 0.000
Br1 0.000 0.000 0.275
Br2 0.000 0.000 0.500
Br3 0.235 0.235 0.000
```

The 6 most intense peaks (10 to 80 degrees two-theta), low angle first:
d_spacing, 2θ/deg, I_rel, index
3.467, 25.69, 890, 2 0 2
3.137, 28.45, 1000, 2 2 0
2.778, 32.22, 341, 0 0 4
2.218, 40.67, 362, 4 0 0
2.080, 43.51, 566, 2 2 4
1.734, 52.81, 307, 4 0 4


# 9
The following is a simulated powder diffractogram of RbTaBr3. It was derived from DFT lattice parameters and positions (GGA-PBE), using Cu Ka.

Structure:
```
data_RbTaBr3
_space_group_name_H-M_alt 'P 4/m m m'
_space_group_IT_number 123
_space_group_name_Hall '-P 4 2'
_cell_length_a 5.444
_cell_length_b 5.444
_cell_length_c 5.459
_cell_angle_alpha 90.00
_cell_angle_beta 90.00
_cell_angle_gamma 90.00
loop_
_atom_site_label
_atom_site_fract_x
_atom_site_fract_y
_atom_site_fract_z
Rb1 0.000 0.000 0.000
Ta1 0.500 0.500 0.500
Br1 0.000 0.500 0.500
Br2 0.500 0.500 0.000
```

The 6 most intense peaks (10 to 80 degrees two-theta), low angle first:
d_spacing, 2θ/deg, I_rel, index
5.449, 16.27, 637, 1 0 0
3.853, 23.08, 618, 1 1 0
2.724, 32.87, 1000, 2 0 0
2.437, 36.89, 338, 2 1 0
2.224, 40.55, 289, 2 1 1
1.926, 47.18, 718, 2 2 0


# 10
The following is a simulated powder diffractogram of Rb3TeBr6. It was derived from DFT lattice parameters and positions (GGA-PBE), using Cu Ka.

Structure:
```
data_Rb3TeBr6
_space_group_name_H-M_alt 'I 4/m m m'
_space_group_IT_number 139
_space_group_name_Hall '-I 4 2'
_cell_length_a 8.401
_cell_length_b 8.401
_cell_length_c 13.048
_cell_angle_alpha 90.00
_cell_angle_beta 90.00
_cell_angle_gamma 90.00
loop_
_atom_site_label
_atom_site_fract_x
_atom_site_fract_y
_atom_site_fract_z
Rb1 0.000 0.000 0.000
Rb2 0.000 0.500 0.250
Te1 0.000 0.000 0.500
Br1 0.000 0.000 0.251
Br2 0.228 0.228 0.500
```

The 6 most intense peaks (10 to 80 degrees two-theta), low angle first:
d_spacing, 2θ/deg, I_rel, index
4.392, 20.22, 374, 1 1 2
3.532, 25.22, 861, 2 0 2
3.262, 27.34, 680, 0 0 4
2.970, 30.09, 1000, 2 2 0
2.196, 41.10, 838, 2 2 4
1.766, 51.77, 398, 4 0 4


# 11
The following is a simulated powder diffractogram of RbTe2Br4. It was derived from DFT lattice parameters and positions (GGA-PBE), using Cu Ka.

Structure:
```
data_RbTe2Br4
_space_group_name_H-M_alt 'F 2 2 2'
_space_group_IT_number 22
_space_group_name_Hall 'F 2 2'
_cell_length_a 10.431
_cell_length_b 15.681
_cell_length_c 15.705
_cell_angle_alpha 90.00
_cell_angle_beta 90.00
_cell_angle_gamma 90.00
loop_
_atom_site_label
_atom_site_fract_x
_atom_site_fract_y
_atom_site_fract_z
Rb1 0.000 0.000 0.000
Rb2 0.250 0.250 0.250
Te1 0.125 0.046 0.703
Br1 0.057 0.152 0.833
Br2 0.194 0.084 0.403
```

The 6 most intense peaks (10 to 80 degrees two-theta), low angle first:
d_spacing, 2θ/deg, I_rel, index
7.846, 11.28, 1000, 0 2 0
4.481, 19.81, 271, 1 1 3
3.486, 25.55, 862, 1 3 3
3.318, 26.87, 456, 3 1 1
2.911, 30.71, 231, 2 4 2
2.449, 36.69, 224, 2 4 4


# 12
The following is a simulated powder diffractogram of Rb2TeBr6. It was derived from DFT lattice parameters and positions (GGA-PBE), using Cu Ka.

Structure:
```
data_Rb2TeBr6
_space_group_name_H-M_alt 'I 4/m'
_space_group_IT_number 87
_space_group_name_Hall '-I 4'
_cell_length_a 7.762
_cell_length_b 7.762
_cell_length_c 11.371
_cell_angle_alpha 90.00
_cell_angle_beta 90.00
_cell_angle_gamma 90.00
loop_
_atom_site_label
_atom_site_fract_x
_atom_site_fract_y
_atom_site_fract_z
Rb1 0.000 0.500 0.250
Te1 0.000 0.000 0.000
Br1 0.000 0.000 0.241
Br2 0.205 0.287 0.000
```

The 6 most intense peaks (10 to 80 degrees two-theta), low angle first:
d_spacing, 2θ/deg, I_rel, index
6.411, 13.81, 417, 1 0 1
3.320, 26.85, 349, 1 2 1
3.205, 27.83, 1000, 2 0 2
2.843, 31.47, 447, 0 0 4
2.744, 32.63, 661, 2 2 0
1.974, 45.97, 491, 2 2 4


# 13
The following is a simulated powder diffractogram of RbThBr6. It was derived from DFT lattice parameters and positions (GGA-PBE), using Cu Ka.

Structure:
```
data_RbThBr6
_space_group_name_H-M_alt 'P -1'
_space_group_IT_number 2
_cell_length_a 5.225
_cell_length_b 8.287
_cell_length_c 8.772
_cell_angle_alpha 71.81
_cell_angle_beta 72.91
_cell_angle_gamma 71.99
loop_
_space_group_symop_operation_xyz
'x,y,z'
'-x,-y,-z'
loop_
_atom_site_label
_atom_site_fract_x
_atom_site_fract_y
_atom_site_fract_z
Rb1 0.000 0.000 0.000
Th1 0.500 0.500 0.500
Br1 0.072 0.560 0.294
Br2 0.279 0.708 0.737
Br3 0.434 0.851 0.283
```

The 6 most intense peaks (10 to 80 degrees two-theta), low angle first:
d_spacing, 2θ/deg, I_rel, index
8.132, 10.88, 646, 0 0 1
7.644, 11.58, 596, 0 1 0
6.402, 13.83, 1000, 0 1 1
4.630, 19.17, 777, 1 0 1
2.811, 31.83, 526, 1 -1 2
2.613, 34.32, 548, 2 1 1